# 1
Diffraction record for K2HS2NO6. The X-ray powder pattern is theoretical, not measured: it uses the GGA-PBE geometry in the Materials Project and λ = 1.5418 Å (Cu Kα).

Largest 10 diffraction maxima, in order of rising 2θ, 2θ from 10° to 90°:
| Position (°2θ) | I (rel.) |
| --- | --- |
| 11.2 | 100 |
| 17.1 | 13 |
| 22.5 | 52 |
| 24.4 | 18 |
| 25.9 | 36 |
| 27.3 | 18 |
| 27.5 | 35 |
| 29.2 | 40 |
| 42.8 | 9 |
| 49.0 | 13 |

Cell and atoms:
```
K2HS2NO6
1.0
7.9188 0.0000 0.0000
0.0000 7.2856 0.0000
-0.5748 0.0000 7.3654
K H S N O
4 2 4 2 12
Direct
0.0000 0.1615 0.0000
0.0000 0.8385 0.5000
0.4521 0.1687 0.2591
0.4521 0.8313 0.7591
0.1805 0.4757 0.2221
0.1805 0.5243 0.7221
0.0607 0.3200 0.5191
0.0607 0.6800 0.0191
0.3911 0.3127 0.7540
0.3911 0.6873 0.2540
0.2258 0.4248 0.6384
0.2258 0.5752 0.1384
0.1363 0.2243 0.3680
0.1363 0.7757 0.8680
0.3238 0.2004 0.8989
0.3238 0.7996 0.3989
0.4633 0.1960 0.6186
0.4633 0.8040 0.1186
0.4960 0.4654 0.8231
0.4960 0.5346 0.3231
0.9547 0.4749 0.4580
0.9547 0.5251 0.9580
0.9802 0.1889 0.6364
0.9802 0.8111 0.1364
```


# 2
Diffraction record for K2HS2NO6. The X-ray powder pattern is theoretical, not measured: it uses the GGA-PBE geometry in the Materials Project and λ = 1.5418 Å (Cu Kα).

Largest 10 diffraction maxima, in order of rising 2θ, 2θ from 10° to 90°:
| Position (°2θ) | I (rel.) |
| --- | --- |
| 18.1 | 34 |
| 23.5 | 42 |
| 26.5 | 90 |
| 27.8 | 73 |
| 28.1 | 76 |
| 28.4 | 100 |
| 29.9 | 51 |
| 30.2 | 39 |
| 39.6 | 45 |
| 46.2 | 35 |

Cell and atoms:
```
K2HS2NO6
1.0
6.3602 -3.7889 0.0000
6.3602 3.7889 0.0000
-0.1569 0.0000 7.3271
K H S N O
4 2 4 2 12
Direct
0.1453 0.8547 0.5000
0.1562 0.4518 0.2119
0.4518 0.1562 0.7119
0.8547 0.1453 0.0000
0.5959 0.6587 0.6803
0.6587 0.5959 0.1803
0.3758 0.7289 0.9985
0.5744 0.9333 0.2202
0.7289 0.3758 0.4985
0.9333 0.5744 0.7202
0.5810 0.7275 0.1051
0.7275 0.5810 0.6051
0.0986 0.4981 0.5851
0.2011 0.8072 0.1242
0.3335 0.8632 0.8398
0.4347 0.9864 0.3756
0.4527 0.5120 0.9506
0.4981 0.0986 0.0851
0.5120 0.4527 0.4506
0.7898 0.8577 0.2716
0.8072 0.2011 0.6242
0.8577 0.7898 0.7716
0.8632 0.3335 0.3398
0.9864 0.4347 0.8756
```


# 3
Diffraction record for KH2SNO3. The X-ray powder pattern is theoretical, not measured: it uses the GGA-PBE geometry in the Materials Project and λ = 1.5418 Å (Cu Kα).

Largest 10 diffraction maxima, in order of rising 2θ, 2θ from 10° to 90°:
| Position (°2θ) | I (rel.) |
| --- | --- |
| 21.0 | 62 |
| 23.5 | 55 |
| 26.0 | 38 |
| 27.8 | 25 |
| 28.1 | 100 |
| 29.6 | 34 |
| 31.5 | 13 |
| 35.0 | 43 |
| 48.1 | 18 |
| 48.7 | 15 |

Cell and atoms:
```
KH2SNO3
1.0
6.0309 0.0000 0.0000
0.0000 8.4847 0.0000
0.0000 0.0000 8.3408
K H S N O
4 8 4 4 12
Direct
0.1649 0.2500 0.0000
0.1649 0.2500 0.5000
0.8351 0.7500 0.0000
0.8351 0.7500 0.5000
0.2588 0.6220 0.1499
0.2588 0.6220 0.3501
0.2588 0.8780 0.6499
0.2588 0.8780 0.8501
0.7412 0.1220 0.1499
0.7412 0.1220 0.3501
0.7412 0.3780 0.6499
0.7412 0.3780 0.8501
0.3221 0.6385 0.7500
0.3221 0.8615 0.2500
0.6779 0.1385 0.7500
0.6779 0.3615 0.2500
0.2063 0.6821 0.2500
0.2063 0.8179 0.7500
0.7937 0.1821 0.2500
0.7937 0.3179 0.7500
0.2379 0.5660 0.6022
0.2379 0.5660 0.8978
0.2379 0.9340 0.1022
0.2379 0.9340 0.3978
0.4342 0.1546 0.7500
0.4342 0.3454 0.2500
0.5658 0.6546 0.7500
0.5658 0.8454 0.2500
0.7621 0.0660 0.6022
0.7621 0.0660 0.8978
0.7621 0.4340 0.1022
0.7621 0.4340 0.3978
```


# 4
Diffraction record for K2HS2NO6. The X-ray powder pattern is theoretical, not measured: it uses the GGA-PBE geometry in the Materials Project and λ = 1.5418 Å (Cu Kα).

Largest 10 diffraction maxima, in order of rising 2θ, 2θ from 10° to 90°:
| Position (°2θ) | I (rel.) |
| --- | --- |
| 18.1 | 35 |
| 23.0 | 21 |
| 26.1 | 57 |
| 26.9 | 38 |
| 28.0 | 44 |
| 28.2 | 100 |
| 29.7 | 56 |
| 38.7 | 14 |
| 39.2 | 22 |
| 46.4 | 29 |

Cell and atoms:
```
K2HS2NO6
1.0
6.3716 -3.8662 0.0000
6.3716 3.8662 0.0000
-0.0034 0.0000 7.2782
K H S N O
4 2 4 2 12
Direct
0.0178 0.2910 0.3584
0.2910 0.0178 0.8584
0.7090 0.9822 0.1416
0.9822 0.7090 0.6416
0.4528 0.5472 0.7500
0.5472 0.4528 0.2500
0.2223 0.5782 0.1377
0.4218 0.7777 0.3623
0.5782 0.2223 0.6377
0.7777 0.4218 0.8623
0.4156 0.5844 0.2500
0.5844 0.4156 0.7500
0.0524 0.6523 0.2679
0.1733 0.7123 0.9769
0.2877 0.8267 0.5231
0.3032 0.3638 0.0923
0.3477 0.9476 0.2321
0.3638 0.3032 0.5923
0.6362 0.6968 0.4077
0.6523 0.0524 0.7679
0.6968 0.6362 0.9077
0.7123 0.1733 0.4769
0.8267 0.2877 0.0231
0.9476 0.3477 0.7321
```


# 5
Diffraction record for K3H2S2NO7. The X-ray powder pattern is theoretical, not measured: it uses the GGA-PBE geometry in the Materials Project and λ = 1.5418 Å (Cu Kα).

Largest 10 diffraction maxima, in order of rising 2θ, 2θ from 10° to 90°:
| Position (°2θ) | I (rel.) |
| --- | --- |
| 16.9 | 72 |
| 26.1 | 99 |
| 26.9 | 58 |
| 27.7 | 44 |
| 28.7 | 74 |
| 29.5 | 100 |
| 32.6 | 37 |
| 33.7 | 33 |
| 34.1 | 49 |
| 34.7 | 37 |

Cell and atoms:
```
K3H2S2NO7
1.0
6.8187 0.0000 0.0000
-1.8459 7.8399 0.0000
-0.1280 -1.1526 8.1376
K H S N O
6 4 4 2 14
Direct
0.1684 0.1739 0.4234
0.1869 0.5554 0.7591
0.3012 0.1556 0.9362
0.6988 0.8444 0.0638
0.8131 0.4446 0.2409
0.8316 0.8261 0.5766
0.2807 0.8165 0.5194
0.4003 0.9548 0.6603
0.5997 0.0452 0.3397
0.7193 0.1835 0.4806
0.1806 0.8067 0.1460
0.3492 0.5621 0.2772
0.6508 0.4379 0.7228
0.8194 0.1933 0.8540
0.2512 0.6272 0.1227
0.7488 0.3728 0.8773
0.0211 0.8063 0.2680
0.1001 0.8179 0.9803
0.2047 0.5423 0.4114
0.2639 0.9015 0.6114
0.3546 0.9575 0.1978
0.3864 0.3929 0.2093
0.4591 0.3142 0.6623
0.5409 0.6858 0.3377
0.6136 0.6071 0.7907
0.6454 0.0425 0.8022
0.7361 0.0985 0.3886
0.7953 0.4577 0.5886
0.8999 0.1821 0.0197
0.9789 0.1937 0.7320
```


# 6
Diffraction record for K2HS2NO6. The X-ray powder pattern is theoretical, not measured: it uses the GGA-PBE geometry in the Materials Project and λ = 1.5418 Å (Cu Kα).

Largest 10 diffraction maxima, in order of rising 2θ, 2θ from 10° to 90°:
| Position (°2θ) | I (rel.) |
| --- | --- |
| 21.1 | 66 |
| 24.3 | 26 |
| 25.0 | 42 |
| 25.2 | 27 |
| 25.3 | 29 |
| 27.2 | 34 |
| 27.9 | 38 |
| 28.1 | 100 |
| 28.3 | 39 |
| 30.7 | 34 |

Cell and atoms:
```
K2HS2NO6
1.0
12.6346 0.0000 0.0000
0.0000 7.3203 0.0000
-0.0611 0.0000 7.3922
K H S N O
4 2 4 2 12
Direct
0.0000 0.1642 0.0000
0.0000 0.8358 0.5000
0.7119 0.1692 0.7613
0.7119 0.8308 0.2613
0.8834 0.4723 0.7995
0.8834 0.5277 0.2995
0.7544 0.3120 0.2661
0.7544 0.6880 0.7661
0.9614 0.3188 0.4828
0.9614 0.6812 0.9828
0.8578 0.4174 0.3739
0.8578 0.5826 0.8739
0.0097 0.1804 0.3649
0.0097 0.8196 0.8649
0.0283 0.4753 0.5231
0.0283 0.5247 0.0231
0.6880 0.4667 0.2174
0.6880 0.5333 0.7174
0.7096 0.1861 0.3992
0.7096 0.8139 0.8992
0.7958 0.2108 0.1089
0.7958 0.7892 0.6089
0.9167 0.2330 0.6467
0.9167 0.7670 0.1467
```


# 7
Diffraction record for K3NaH4. The X-ray powder pattern is theoretical, not measured: it uses the GGA-PBE geometry in the Materials Project and λ = 1.5418 Å (Cu Kα).

Largest 10 diffraction maxima, in order of rising 2θ, 2θ from 10° to 90°:
| Position (°2θ) | I (rel.) |
| --- | --- |
| 16.0 | 5 |
| 28.0 | 100 |
| 32.4 | 59 |
| 46.5 | 38 |
| 55.1 | 38 |
| 57.8 | 12 |
| 67.9 | 5 |
| 74.9 | 14 |
| 77.2 | 13 |
| 86.3 | 10 |

Cell and atoms:
```
K3NaH4
1.0
5.5235 0.0000 0.0000
0.0000 5.5235 0.0000
0.0000 0.0000 5.5235
K Na H
3 1 4
Direct
0.0000 0.0000 0.5000
0.0000 0.5000 0.0000
0.5000 0.0000 0.0000
0.5000 0.5000 0.5000
0.0000 0.0000 0.0000
0.0000 0.5000 0.5000
0.5000 0.0000 0.5000
0.5000 0.5000 0.0000
```


# 8
Diffraction record for KNa3H4. The X-ray powder pattern is theoretical, not measured: it uses the GGA-PBE geometry in the Materials Project and λ = 1.5418 Å (Cu Kα).

Largest 10 diffraction maxima, in order of rising 2θ, 2θ from 10° to 90°:
| Position (°2θ) | I (rel.) |
| --- | --- |
| 17.3 | 8 |
| 24.6 | 6 |
| 30.2 | 100 |
| 35.1 | 61 |
| 50.4 | 38 |
| 59.9 | 38 |
| 62.9 | 12 |
| 74.1 | 5 |
| 82.1 | 13 |
| 84.7 | 13 |

Cell and atoms:
```
KNa3H4
1.0
5.1186 0.0000 0.0000
0.0000 5.1186 0.0000
0.0000 0.0000 5.1186
K Na H
1 3 4
Direct
0.0000 0.0000 0.0000
0.0000 0.5000 0.5000
0.5000 0.0000 0.5000
0.5000 0.5000 0.0000
0.0000 0.0000 0.5000
0.0000 0.5000 0.0000
0.5000 0.0000 0.0000
0.5000 0.5000 0.5000
```